La2Nd2In3: theoretical powder XRD pattern (a wavelength of 1.5418 Å), based on a DFT-relaxed cell (PBE, Alexandria).
Lines closer than 0.1° are merged.

The 6 most intense peaks (2θ = 15–90°), most intense first:
| (hkl) | 2θ/deg | intensity |
| --- | --- | --- |
| 1 0 2 | 31.1 | 100.0 |
| 1 1 -1 | 33.2 | 88.3 |
| 0 1 -3 | 33.4 | 43.0 |
| 0 2 1 | 32.2 | 41.3 |
| 2 -1 0 | 45.2 | 19.2 |
| 2 -2 3 | 57.3 | 17.9 |

Crystal structure
a b c (Å): 4.015 6.253 8.898
angles (deg): 91.66 90.02 108.69
Space group P-1 (No. 2)
Inequivalent atoms, fractional coordinates:
La 0.214 0.428 0.160 x2
Nd 0.055 0.110 0.700 x2
In 0.339 0.677 0.550 x2
In 0.500 0.000 0.000 x1